Entry 1:
LiTiFeF6: theoretical PXRD pattern (Cu Kα (λ = 1.5418 Å)), based on a cell relaxed with PBE+U.

Cell and atoms:
Unit cell a=8.9813 b=8.9813 c=4.5988 alpha=90.00 beta=90.00 gamma=120.00
Element x y z (fractional)
Li  0.0000  0.6941  0.0000
Li  0.3059  0.3059  0.0000
Li  0.6941  0.0000  0.0000
Ti  0.0000  0.3521  0.5000
Ti  0.3521  0.0000  0.5000
Ti  0.6479  0.6479  0.5000
Fe  0.0000  0.0000  0.5000
Fe  0.3333  0.6667  0.9895
Fe  0.6667  0.3333  0.0105
F  0.1045  0.5637  0.7571
F  0.1055  0.2329  0.7283
F  0.1274  0.8945  0.7283
F  0.2008  0.4411  0.2428
F  0.2329  0.1055  0.2717
F  0.2403  0.7992  0.2428
F  0.4363  0.5408  0.7571
F  0.4411  0.2008  0.7572
F  0.4592  0.8955  0.7571
F  0.5408  0.4363  0.2429
F  0.5589  0.7597  0.2428
F  0.5637  0.1045  0.2429
F  0.7597  0.5589  0.7572
F  0.7671  0.8726  0.7283
F  0.7992  0.2403  0.7572
F  0.8726  0.7671  0.2717
F  0.8945  0.1274  0.2717
F  0.8955  0.4592  0.2429

Top 6 peaks for 10 to 80 degrees two-theta, by angle:
- 4.491 Å, rel. 79, (1 1 0)
- 3.959 Å, rel. 72, (0 1 1)
- 3.213 Å, rel. 100, (1 1 1)
- 2.258 Å, rel. 95, (0 3 1)
- 1.720 Å, rel. 100, (0 3 2)
- 1.497 Å, rel. 46, (3 3 0)

***

Entry 2:
Na3VF6: theoretical PXRD pattern (Cu Kα (λ = 1.5418 Å)), based on a cell relaxed with PBE+U.

Cell and atoms:
Unit cell a=5.6002 b=5.8294 c=9.8055 alpha=90.00 beta=124.17 gamma=90.00
Element x y z (fractional)
Na  0.0000  0.0000  0.0000
Na  0.0000  0.5000  0.5000
Na  0.2253  0.0540  0.7406
Na  0.2253  0.4460  0.2406
Na  0.7747  0.5540  0.7594
Na  0.7747  0.9460  0.2594
V  0.5000  0.0000  0.5000
V  0.5000  0.5000  0.0000
F  0.1584  0.1783  0.4490
F  0.1584  0.3217  0.9490
F  0.2588  0.7201  0.4256
F  0.2588  0.7799  0.9256
F  0.3914  0.0629  0.2727
F  0.3914  0.4371  0.7727
F  0.6086  0.5629  0.2273
F  0.6086  0.9371  0.7273
F  0.7412  0.2201  0.0744
F  0.7412  0.2799  0.5744
F  0.8416  0.6783  0.0510
F  0.8416  0.8217  0.5510

Top 6 peaks for 10 to 80 degrees two-theta, by angle:
- 4.734 Å, rel. 88, (0 1 1)
- 4.044 Å, rel. 100, (1 1 -1)
- 2.874 Å, rel. 97, (1 1 1)
- 2.850 Å, rel. 88, (1 1 -3)
- 2.019 Å, rel. 94, (2 2 -2)
- 1.634 Å, rel. 75, (3 1 -1)

***

Entry 3:
P2WO8: theoretical PXRD pattern (Cu Kα (λ = 1.5418 Å)), based on a cell relaxed with PBE+U.

Cell and atoms:
Unit cell a=5.2446 b=7.2067 c=9.5193 alpha=90.00 beta=122.69 gamma=90.00
Element x y z (fractional)
P  0.2032  0.1659  0.2081
P  0.2032  0.3341  0.7081
P  0.7968  0.6659  0.2919
P  0.7968  0.8341  0.7919
W  0.5000  0.0000  0.0000
W  0.5000  0.5000  0.5000
O  0.1543  0.6647  0.4207
O  0.1543  0.8353  0.9207
O  0.2829  0.1332  0.7888
O  0.2829  0.3668  0.2888
O  0.3125  0.0128  0.3278
O  0.3125  0.4872  0.8278
O  0.3307  0.1661  0.0898
O  0.3307  0.3339  0.5898
O  0.6693  0.6661  0.4102
O  0.6693  0.8339  0.9102
O  0.6875  0.5128  0.1722
O  0.6875  0.9872  0.6722
O  0.7171  0.6332  0.7112
O  0.7171  0.8668  0.2112
O  0.8457  0.1647  0.0793
O  0.8457  0.3353  0.5793

Top 6 peaks for 10 to 80 degrees two-theta, by angle:
- 5.358 Å, rel. 100, (0 1 1)
- 4.414 Å, rel. 23, (1 0 0)
- 4.362 Å, rel. 25, (1 0 -2)
- 4.240 Å, rel. 23, (1 1 -1)
- 2.927 Å, rel. 22, (1 1 1)
- 2.897 Å, rel. 21, (1 1 -3)

***

Entry 4:
Li3Mn2Si2O8: theoretical PXRD pattern (Cu Kα (λ = 1.5418 Å)), based on a cell relaxed with PBE+U.

Cell and atoms:
Unit cell a=6.6895 b=5.0942 c=10.6104 alpha=90.00 beta=90.82 gamma=90.00
Element x y z (fractional)
Li  0.0000  0.0368  0.0000
Li  0.0000  0.9632  0.5000
Li  0.2552  0.0675  0.7646
Li  0.2552  0.9325  0.2646
Li  0.7504  0.4314  0.0797
Li  0.7504  0.5686  0.5797
Mn  0.2596  0.4441  0.0827
Mn  0.2596  0.5559  0.5827
Mn  0.7412  0.0727  0.7615
Mn  0.7412  0.9273  0.2615
Si  0.0030  0.4370  0.3306
Si  0.0030  0.5630  0.8306
Si  0.5055  0.0705  0.5093
Si  0.5055  0.9295  0.0093
O  0.0004  0.1122  0.3298
O  0.0004  0.8878  0.8298
O  0.0054  0.4498  0.9785
O  0.0054  0.5502  0.4785
O  0.2012  0.4501  0.7572
O  0.2012  0.5499  0.2572
O  0.2978  0.0420  0.0764
O  0.2978  0.9580  0.5764
O  0.4989  0.0008  0.8607
O  0.4989  0.9992  0.3607
O  0.5079  0.3912  0.5322
O  0.5079  0.6088  0.0322
O  0.7134  0.0456  0.0762
O  0.7134  0.9544  0.5762
O  0.8048  0.4560  0.7550
O  0.8048  0.5440  0.2550

Top 6 peaks for 10 to 80 degrees two-theta, by angle:
- 4.186 Å, rel. 56, (1 0 -2)
- 4.127 Å, rel. 45, (1 0 2)
- 4.053 Å, rel. 100, (1 1 0)
- 2.811 Å, rel. 28, (2 0 2)
- 2.652 Å, rel. 42, (0 0 4)
- 2.547 Å, rel. 46, (0 2 0)

***

Entry 5:
Fe3O4F2: theoretical PXRD pattern (Cu Kα (λ = 1.5418 Å)), based on a cell relaxed with PBE+U.

Cell and atoms:
Unit cell a=7.7111 b=4.6643 c=5.5153 alpha=90.00 beta=93.78 gamma=90.00
Element x y z (fractional)
Fe  0.0000  0.0000  0.0000
Fe  0.0000  0.5000  0.5000
Fe  0.3370  0.0328  0.3321
Fe  0.3370  0.4672  0.8321
Fe  0.6630  0.5328  0.1679
Fe  0.6630  0.9672  0.6679
O  0.1043  0.1921  0.2909
O  0.1043  0.3079  0.7909
O  0.4401  0.1863  0.6345
O  0.4401  0.3137  0.1345
O  0.5599  0.6863  0.8655
O  0.5599  0.8137  0.3655
O  0.8957  0.6921  0.2091
O  0.8957  0.8079  0.7091
F  0.2429  0.7038  0.5346
F  0.2429  0.7962  0.0346
F  0.7571  0.2038  0.9654
F  0.7571  0.2962  0.4654

Top 6 peaks for 10 to 80 degrees two-theta, by angle:
- 3.283 Å, rel. 100, (1 1 -1)
- 2.561 Å, rel. 42, (3 0 0)
- 1.724 Å, rel. 30, (4 1 -1)
- 1.717 Å, rel. 15, (1 2 2)
- 1.707 Å, rel. 15, (0 1 3)
- 1.642 Å, rel. 17, (2 2 -2)

***

Entry 6:
Li4Co3Sn5O16: theoretical PXRD pattern (Cu Kα (λ = 1.5418 Å)), based on a cell relaxed with PBE+U.

Cell and atoms:
Unit cell a=6.1510 b=9.8718 c=10.6101 alpha=89.63 beta=89.36 gamma=89.57
Element x y z (fractional)
Li  0.0000  0.0000  0.0000
Li  0.0043  0.4876  0.3327
Li  0.0239  0.3934  0.6654
Li  0.0369  0.9056  0.6555
Li  0.4973  0.0008  0.5001
Li  0.5086  0.4870  0.8369
Li  0.5232  0.3940  0.1642
Li  0.5350  0.9068  0.1551
Co  0.0067  0.1818  0.4986
Co  0.2523  0.1743  0.7570
Co  0.2644  0.6770  0.5824
Co  0.5070  0.1817  0.9992
Co  0.7600  0.1780  0.2567
Co  0.7612  0.6766  0.0807
Sn  0.0031  0.3966  0.0035
Sn  0.0097  0.6763  0.8355
Sn  0.2487  0.1781  0.2515
Sn  0.2511  0.6775  0.0823
Sn  0.4955  0.9062  0.8344
Sn  0.4987  0.3962  0.5064
Sn  0.5038  0.6794  0.3362
Sn  0.7493  0.1779  0.7528
Sn  0.7551  0.6775  0.5828
Sn  0.9982  0.9083  0.3345
O  0.0016  0.2887  0.3298
O  0.0049  0.0483  0.1819
O  0.0066  0.0855  0.6696
O  0.0075  0.2941  0.8320
O  0.0114  0.7922  0.9959
O  0.0118  0.5469  0.1501
O  0.0149  0.7907  0.5057
O  0.0244  0.5810  0.6609
O  0.2291  0.0442  0.4059
O  0.2375  0.5476  0.9239
O  0.2528  0.7900  0.7391
O  0.2618  0.2893  0.5977
O  0.2630  0.7988  0.2467
O  0.2704  0.0533  0.9003
O  0.2754  0.2959  0.0819
O  0.2776  0.5574  0.4366
O  0.4925  0.5596  0.6504
O  0.4935  0.7859  0.5059
O  0.5017  0.7949  0.0014
O  0.5030  0.2819  0.8454
O  0.5033  0.2968  0.3324
O  0.5044  0.5791  0.1691
O  0.5070  0.0469  0.6837
O  0.5095  0.0910  0.1578
O  0.7164  0.0504  0.9149
O  0.7299  0.5481  0.4263
O  0.7489  0.7957  0.2525
O  0.7589  0.2891  0.0920
O  0.7617  0.3065  0.5934
O  0.7670  0.7974  0.7467
O  0.7683  0.0535  0.3993
O  0.7877  0.5456  0.9196

Top 6 peaks for 10 to 80 degrees two-theta, by angle:
- 4.936 Å, rel. 73, (0 2 0)
- 4.682 Å, rel. 100, (0 1 2)
- 4.660 Å, rel. 88, (-1 1 1)
- 2.600 Å, rel. 65, (2 -2 0)
- 2.590 Å, rel. 48, (2 1 2)
- 2.562 Å, rel. 46, (2 1 -2)

***

Entry 7:
RbScW2O8: theoretical PXRD pattern (Cu Kα (λ = 1.5418 Å)), based on a cell relaxed with PBE+U.

Cell and atoms:
Unit cell a=5.9365 b=5.9365 c=7.8401 alpha=90.00 beta=90.00 gamma=120.00
Element x y z (fractional)
Rb  0.0000  0.0000  0.0000
Sc  0.0000  0.0000  0.5000
W  0.3333  0.6667  0.2679
W  0.6667  0.3333  0.7321
O  0.1641  0.3282  0.3392
O  0.1641  0.8359  0.3392
O  0.3282  0.1641  0.6608
O  0.3333  0.6667  0.0415
O  0.6667  0.3333  0.9585
O  0.6718  0.8359  0.3392
O  0.8359  0.1641  0.6608
O  0.8359  0.6718  0.6608

Top 6 peaks for 10 to 80 degrees two-theta, by angle:
- 4.299 Å, rel. 100, (0 1 1)
- 3.117 Å, rel. 33, (1 0 2)
- 2.968 Å, rel. 40, (1 1 0)
- 2.150 Å, rel. 13, (2 0 2)
- 1.886 Å, rel. 21, (1 2 1)
- 1.636 Å, rel. 13, (1 1 4)

***

Entry 8:
Li12Ni11O28: theoretical PXRD pattern (Cu Kα (λ = 1.5418 Å)), based on a cell relaxed with PBE+U.

Cell and atoms:
Unit cell a=5.8302 b=6.4127 c=12.9136 alpha=84.19 beta=83.77 gamma=74.29
Element x y z (fractional)
Li  0.0000  0.0000  0.0000
Li  0.0003  0.4959  0.5029
Li  0.0698  0.9240  0.7889
Li  0.2073  0.7754  0.3672
Li  0.2184  0.2828  0.8602
Li  0.2864  0.7114  0.1466
Li  0.4256  0.5484  0.7210
Li  0.4282  0.0618  0.2177
Li  0.5765  0.4084  0.2922
Li  0.6393  0.3364  0.0744
Li  0.7844  0.2126  0.6410
Li  0.8500  0.1386  0.4313
Ni  0.0710  0.4150  0.2888
Ni  0.1453  0.3447  0.0755
Ni  0.2780  0.2054  0.6443
Ni  0.3497  0.1368  0.4319
Ni  0.4967  0.9908  0.0012
Ni  0.5651  0.9211  0.7889
Ni  0.6358  0.8411  0.5736
Ni  0.7085  0.7770  0.3590
Ni  0.7849  0.7077  0.1461
Ni  0.8559  0.6275  0.9314
Ni  0.9241  0.5583  0.7172
O  0.0135  0.2569  0.7393
O  0.0432  0.6512  0.0419
O  0.0958  0.5987  0.8234
O  0.0991  0.1758  0.5384
O  0.1504  0.1207  0.3334
O  0.1929  0.5020  0.6246
O  0.2330  0.0423  0.0960
O  0.2702  0.4314  0.3867
O  0.3175  0.9611  0.8938
O  0.3253  0.3836  0.1810
O  0.3804  0.8967  0.6832
O  0.4100  0.2871  0.9809
O  0.4521  0.8304  0.4618
O  0.4842  0.2138  0.7439
O  0.5313  0.7396  0.2496
O  0.5420  0.1443  0.5407
O  0.6014  0.6833  0.0412
O  0.6148  0.0812  0.3352
O  0.6672  0.6164  0.8235
O  0.7013  0.0007  0.1006
O  0.7221  0.5483  0.6173
O  0.7598  0.9306  0.8961
O  0.8057  0.4709  0.3838
O  0.8201  0.8639  0.6823
O  0.8792  0.8113  0.4658
O  0.8804  0.4046  0.1796
O  0.9418  0.3352  0.9761
O  0.9752  0.7204  0.2558

Top 6 peaks for 10 to 80 degrees two-theta, by angle:
- 4.816 Å, rel. 100, (1 1 0)
- 4.273 Å, rel. 11, (0 0 3)
- 2.407 Å, rel. 14, (1 0 5)
- 2.028 Å, rel. 20, (2 1 5)
- 2.022 Å, rel. 20, (2 0 -4)
- 2.003 Å, rel. 19, (0 3 -1)

***

Entry 9:
PrMgCr2O6: theoretical PXRD pattern (Cu Kα (λ = 1.5418 Å)), based on a cell relaxed with PBE+U.

Cell and atoms:
Unit cell a=7.7184 b=5.4350 c=5.2856 alpha=90.00 beta=90.00 gamma=90.00
Element x y z (fractional)
Pr  0.0000  0.2011  0.0000
Pr  0.5000  0.7989  0.5000
Mg  0.0000  0.6945  0.4717
Mg  0.5000  0.3055  0.9717
Cr  0.2496  0.2570  0.4880
Cr  0.2504  0.7430  0.9880
Cr  0.7504  0.2570  0.4880
Cr  0.7496  0.7430  0.9880
O  0.0000  0.3055  0.5751
O  0.0000  0.7740  0.8638
O  0.1931  0.4749  0.2035
O  0.1934  0.9497  0.3098
O  0.3066  0.0503  0.8098
O  0.3069  0.5251  0.7035
O  0.5000  0.2260  0.3638
O  0.5000  0.6945  0.0751
O  0.6934  0.0503  0.8098
O  0.6931  0.5251  0.7035
O  0.8069  0.4749  0.2035
O  0.8066  0.9497  0.3098

Top 6 peaks for 10 to 80 degrees two-theta, by angle:
- 4.444 Å, rel. 36, (1 1 0)
- 4.361 Å, rel. 36, (1 0 1)
- 2.704 Å, rel. 100, (2 1 1)
- 2.643 Å, rel. 22, (0 0 2)
- 1.895 Å, rel. 25, (0 2 2)
- 1.537 Å, rel. 23, (2 1 3)